Diffraction record for Tb3Co2Ge4. The powder X-ray diffraction pattern is calculated, not measured: it uses the PBE geometry in the Materials Project and copper Kα.
Lines closer than 0.1° are merged.

Cell and atoms:
```
data_Tb3Co2Ge4
_chemical_formula_sum 'Tb6 Co4 Ge8'
_cell_length_a 10.7523
_cell_length_b 4.1641
_cell_length_c 8.0645
_cell_angle_alpha 90.00
_cell_angle_beta 107.60
_cell_angle_gamma 90.00
_symmetry_space_group_name_H-M 'C 1 2/m 1'
_symmetry_Int_Tables_number 12
_symmetry_space_group_name_Hall '-C 2y'
loop_
_atom_site_label
_atom_site_fract_x
_atom_site_fract_y
_atom_site_fract_z
Tb1 0.0000 0.0000 0.0000
Tb2 0.1229 0.5000 0.6924
Co1 0.1926 0.5000 0.3725
Ge1 0.0993 0.0000 0.3993
Ge2 0.2091 0.5000 0.0812
```

Peak list (6 most intense, 2θ from 10° to 90°, in order of rising 2θ)
hkl	d/Å	2θ/deg	intensity
3 1 -1	2.699	33.2	94
3 1 0	2.641	33.9	92
1 1 2	2.580	34.8	100
0 0 3	2.562	35.0	54
3 1 -3	2.101	43.1	57
0 2 0	2.082	43.5	64

Diffraction record for TbCoGe. The powder X-ray diffraction pattern is calculated, not measured: it uses the PBE geometry in the Materials Project and copper Kα.
Lines closer than 0.1° are merged.

Cell and atoms:
```
data_TbCoGe
_chemical_formula_sum 'Tb4 Co4 Ge4'
_cell_length_a 6.9527
_cell_length_b 4.2613
_cell_length_c 7.1664
_cell_angle_alpha 90.00
_cell_angle_beta 90.00
_cell_angle_gamma 90.00
_symmetry_space_group_name_H-M 'P n m a'
_symmetry_Int_Tables_number 62
_symmetry_space_group_name_Hall '-P 2ac 2n'
loop_
_atom_site_label
_atom_site_fract_x
_atom_site_fract_y
_atom_site_fract_z
Tb1 0.0130 0.2500 0.1960
Co1 0.1539 0.7500 0.4313
Ge1 0.2001 0.2500 0.6008
```

Peak list (6 most intense, 2θ from 10° to 90°, in order of rising 2θ)
hkl	d/Å	2θ/deg	intensity
1 1 2	2.551	35.2	61
2 1 1	2.521	35.6	100
2 0 2	2.495	36.0	31
3 0 1	2.205	40.9	22
0 2 0	2.131	42.4	36
0 1 3	2.084	43.4	35

Diffraction record for Tb3UCo8Ge8. The powder X-ray diffraction pattern is calculated, not measured: it uses the PBE geometry in the Materials Project and copper Kα.
Lines closer than 0.1° are merged.

Cell and atoms:
```
data_Tb3UCo8Ge8
_chemical_formula_sum 'Tb3 U1 Co8 Ge8'
_cell_length_a 3.9934
_cell_length_b 3.9934
_cell_length_c 20.1263
_cell_angle_alpha 90.00
_cell_angle_beta 90.00
_cell_angle_gamma 90.00
_symmetry_space_group_name_H-M 'P 4/m m m'
_symmetry_Int_Tables_number 123
_symmetry_space_group_name_Hall '-P 4 2'
loop_
_atom_site_label
_atom_site_fract_x
_atom_site_fract_y
_atom_site_fract_z
Tb1 0.0000 0.0000 0.0000
Tb2 0.5000 0.5000 0.2510
U1 0.0000 0.0000 0.5000
Co1 0.0000 0.5000 0.1250
Co2 0.0000 0.5000 0.3767
Ge1 0.0000 0.0000 0.1861
Ge2 0.0000 0.0000 0.3138
Ge3 0.5000 0.5000 0.0643
Ge4 0.5000 0.5000 0.4375
```

Peak list (6 most intense, 2θ from 10° to 90°, in order of rising 2θ)
hkl	d/Å	2θ/deg	intensity
1 1 0	2.824	31.7	32
1 0 6	2.568	34.9	100
1 1 4	2.462	36.5	95
2 0 0	1.997	45.4	59
1 0 10	1.797	50.8	32
2 1 6	1.576	58.6	45

Diffraction record for Co2Ge3Te3. The powder X-ray diffraction pattern is calculated, not measured: it uses the PBE geometry in the Materials Project and copper Kα.
Lines closer than 0.1° are merged.

Cell and atoms:
```
data_Co2Ge3Te3
_chemical_formula_sum 'Co24 Ge36 Te36'
_cell_length_a 12.4174
_cell_length_b 12.4174
_cell_length_c 15.2123
_cell_angle_alpha 90.00
_cell_angle_beta 90.00
_cell_angle_gamma 120.00
_symmetry_space_group_name_H-M 'R -3'
_symmetry_Int_Tables_number 148
_symmetry_space_group_name_Hall '-R 3'
loop_
_atom_site_label
_atom_site_fract_x
_atom_site_fract_y
_atom_site_fract_z
Co1 0.0000 0.0000 0.2451
Co2 0.0012 0.5017 0.2476
Ge1 0.0065 0.1645 0.1611
Ge2 0.0497 0.2686 0.4495
Te1 0.0176 0.8387 0.3345
Te2 0.0542 0.4533 0.6017
```

Peak list (6 most intense, 2θ from 10° to 90°, in order of rising 2θ)
hkl	d/Å	2θ/deg	intensity
4 -1 2	2.777	32.2	100
1 3 4	2.347	38.4	36
4 2 2	1.964	46.2	30
2 0 8	1.792	50.9	18
5 2 0	1.722	53.2	23
5 -3 8	1.506	61.6	20

Diffraction record for Ti2CoGe. The powder X-ray diffraction pattern is calculated, not measured: it uses the PBE geometry in the Materials Project and copper Kα.
Lines closer than 0.1° are merged.

Cell and atoms:
```
data_Ti2CoGe
_chemical_formula_sum 'Ti8 Co4 Ge4'
_cell_length_a 6.1088
_cell_length_b 6.1088
_cell_length_c 6.1088
_cell_angle_alpha 90.00
_cell_angle_beta 90.00
_cell_angle_gamma 90.00
_symmetry_space_group_name_H-M 'F -4 3 m'
_symmetry_Int_Tables_number 216
_symmetry_space_group_name_Hall 'F -4 2 3'
loop_
_atom_site_label
_atom_site_fract_x
_atom_site_fract_y
_atom_site_fract_z
Ti1 0.0000 0.0000 0.0000
Ti2 0.2500 0.2500 0.2500
Co1 0.2500 0.2500 0.7500
Ge1 0.0000 0.0000 0.5000
```

Peak list (6 most intense, 2θ from 10° to 90°, in order of rising 2θ)
hkl	d/Å	2θ/deg	intensity
1 1 1	3.527	25.3	5
2 2 0	2.160	41.8	100
3 1 1	1.842	49.5	3
4 0 0	1.527	60.6	15
3 3 1	1.401	66.7	1
4 2 2	1.247	76.4	30

Diffraction record for Ti4Co4Ge7. The powder X-ray diffraction pattern is calculated, not measured: it uses the PBE geometry in the Materials Project and copper Kα.
Lines closer than 0.1° are merged.

Cell and atoms:
```
data_Ti4Co4Ge7
_chemical_formula_sum 'Ti16 Co16 Ge28'
_cell_length_a 12.8617
_cell_length_b 12.8617
_cell_length_c 5.0907
_cell_angle_alpha 90.00
_cell_angle_beta 90.00
_cell_angle_gamma 90.00
_symmetry_space_group_name_H-M 'I 4/m m m'
_symmetry_Int_Tables_number 139
_symmetry_space_group_name_Hall '-I 4 2'
loop_
_atom_site_label
_atom_site_fract_x
_atom_site_fract_y
_atom_site_fract_z
Ti1 0.0000 0.1919 0.0000
Ti2 0.1368 0.1368 0.5000
Co1 0.1506 0.3494 0.2500
Ge1 0.0000 0.0000 0.2507
Ge2 0.0000 0.2838 0.5000
Ge3 0.0000 0.4032 0.0000
Ge4 0.2022 0.2022 0.0000
```

Peak list (6 most intense, 2θ from 10° to 90°, in order of rising 2θ)
hkl	d/Å	2θ/deg	intensity
5 0 1	2.296	39.2	100
3 1 2	2.158	41.9	62
6 0 0	2.144	42.2	28
3 3 2	1.950	46.6	23
4 2 2	1.906	47.7	20
7 3 0	1.689	54.3	20